This entry pairs a crystal structure of TmAl7Fe5 with its calculated powder XRD pattern. Radiation: CuKα. Structure: a DFT-relaxed cell (PBE, Alexandria).
Neutral-atom scattering factors, no anomalous dispersion.

Structure:
Cell: 5.0082 8.6158 8.5967 Å, 90.00 90.00 90.00°
Space group Imm2 (No. 44)
Unique sites:
Tm: 0.0000 0.0000 0.0000 x2
Al: 0.0000 0.0000 0.3449 x2
Al: 0.0000 0.0000 0.6662 x2
Al: 0.0000 0.2915 0.5008 x4
Al: 0.0000 0.3417 0.0142 x4
Al: 0.0000 0.5000 0.7316 x2
Fe: 0.0000 0.5000 0.2712 x2
Fe: 0.2474 0.2504 0.7570 x8

Most intense lines, 10 to 90 degrees two-theta, sorted by position:
2θ 14.56, intensity 50, hkl 0 1 1
2θ 20.52, intensity 31, hkl 1 0 1
2θ 29.27, intensity 62, hkl 1 1 2
2θ 36.08, intensity 35, hkl 1 0 3
2θ 41.73, intensity 78, hkl 2 2 0
2θ 41.93, intensity 100, hkl 0 4 0
2θ 42.04, intensity 30, hkl 0 0 4
2θ 60.70, intensity 28, hkl 2 2 4

=====

This entry pairs a crystal structure of ReIr2Rh8 with its calculated powder XRD pattern. Radiation: CuKα. Structure: a DFT-relaxed cell (PBE, Alexandria).
Neutral-atom scattering factors, no anomalous dispersion.

Structure:
Cell: 7.9729 10.2731 4.0990 Å, 90.00 90.00 90.00°
Space group Cmmm (No. 65)
Unique sites:
Re: 0.0000 0.0000 0.0000 x2
Ir: 0.0000 0.3789 0.5000 x4
Rh: 0.0000 0.2463 0.0000 x4
Rh: 0.1658 0.1296 0.5000 x8
Rh: 0.1694 0.5000 0.0000 x4

Most intense lines, 10 to 90 degrees two-theta, sorted by position:
2θ 22.30, intensity 13, hkl 2 0 0
2θ 41.46, intensity 100, hkl 0 4 1
2θ 43.08, intensity 21, hkl 3 3 0
2θ 44.19, intensity 22, hkl 0 0 2
2θ 56.62, intensity 10, hkl 3 5 0
2θ 63.43, intensity 13, hkl 3 3 2
2θ 79.43, intensity 15, hkl 0 4 3
2θ 85.65, intensity 13, hkl 6 4 1

=====

This entry pairs a crystal structure of Ho2ThPd7 with its calculated powder XRD pattern. Radiation: CuKα. Structure: a DFT-relaxed cell (PBE, Alexandria).
Neutral-atom scattering factors, no anomalous dispersion.

Structure:
Cell: 5.7889 8.4130 16.9794 Å, 90.00 90.00 90.00°
Space group Fmmm (No. 69)
Unique sites:
Ho: 0.0000 0.0000 0.1734 x8
Th: 0.0000 0.0000 0.5000 x4
Pd: 0.0000 0.0000 0.0000 x4
Pd: 0.2500 0.2500 0.0856 x16
Pd: 0.2500 0.2500 0.2500 x8

Most intense lines, 10 to 90 degrees two-theta, sorted by position:
2θ 24.41, intensity 68, hkl 1 1 3
2θ 37.73, intensity 100, hkl 2 2 0
2θ 38.33, intensity 94, hkl 0 2 6
2θ 43.00, intensity 35, hkl 0 4 0
2θ 44.79, intensity 61, hkl 2 0 6
2θ 63.83, intensity 42, hkl 2 4 6
2θ 77.47, intensity 24, hkl 4 2 6
2θ 78.63, intensity 24, hkl 2 2 12

=====

This entry pairs a crystal structure of FeCu2S2 with its calculated powder XRD pattern. Radiation: CuKα. Structure: a DFT-relaxed cell (PBE, Alexandria).
Neutral-atom scattering factors, no anomalous dispersion.

Structure:
Cell: 10.8918 10.8918 10.8918 Å, 90.00 90.00 90.00°
Space group F-43m (No. 216)
Unique sites:
Fe: 0.1214 0.1214 0.3786 x16
Cu: 0.1187 0.1187 0.1187 x16
Cu: 0.1626 0.1626 0.6626 x16
S: 0.0000 0.0000 0.0000 x4
S: 0.0000 0.0000 0.5000 x4
S: 0.0089 0.2500 0.2500 x24

Most intense lines, 10 to 90 degrees two-theta, sorted by position:
2θ 27.15, intensity 46, hkl 3 1 1
2θ 28.39, intensity 45, hkl 2 2 2
2θ 32.89, intensity 33, hkl 4 0 0
2θ 35.94, intensity 35, hkl 3 3 1
2θ 43.16, intensity 21, hkl 3 3 3
2θ 47.21, intensity 100, hkl 4 4 0
2θ 65.87, intensity 17, hkl 7 3 1
2θ 87.82, intensity 22, hkl 8 4 4

=====

Repeat the second record exactly.
This entry pairs a crystal structure of ReIr2Rh8 with its calculated powder XRD pattern. Radiation: CuKα. Structure: a DFT-relaxed cell (PBE, Alexandria).
Neutral-atom scattering factors, no anomalous dispersion.

Structure:
Cell: 7.9729 10.2731 4.0990 Å, 90.00 90.00 90.00°
Space group Cmmm (No. 65)
Unique sites:
Re: 0.0000 0.0000 0.0000 x2
Ir: 0.0000 0.3789 0.5000 x4
Rh: 0.0000 0.2463 0.0000 x4
Rh: 0.1658 0.1296 0.5000 x8
Rh: 0.1694 0.5000 0.0000 x4

Most intense lines, 10 to 90 degrees two-theta, sorted by position:
2θ 22.30, intensity 13, hkl 2 0 0
2θ 41.46, intensity 100, hkl 0 4 1
2θ 43.08, intensity 21, hkl 3 3 0
2θ 44.19, intensity 22, hkl 0 0 2
2θ 56.62, intensity 10, hkl 3 5 0
2θ 63.43, intensity 13, hkl 3 3 2
2θ 79.43, intensity 15, hkl 0 4 3
2θ 85.65, intensity 13, hkl 6 4 1

=====

Number 2 is which compound? ReIr2Rh8